(1)
Theoretical powder X-ray diffraction pattern of Nb4Cu3Mo2C3 for Cu Kα, 1.54184 Å, from a structure optimized by DFT (PBE).
Kinematic intensities with the Lorentz-polarization factor, no thermal factor.

Main lines, by angle (2θ from 10° to 90°):
h k l, 2theta, d_spacing, Rel. int.
3 1 -1, 33.05, 2.711, 23.6
3 1 -4, 39.20, 2.298, 100.0
0 0 6, 41.68, 2.167, 17.3
3 1 5, 54.15, 1.694, 8.9
3 1 -7, 54.25, 1.691, 5.1
6 0 -2, 59.02, 1.565, 19.1
6 2 1, 73.13, 1.294, 8.7
0 2 9, 74.37, 1.276, 7.3
6 0 4, 74.76, 1.270, 7.1
6 0 -8, 74.90, 1.268, 7.1

Structural model:
Lattice parameters (Å, degrees): 9.3893 5.4221 13.3673 90.00 103.40 90.00
Space group C2/c (No. 15)
Inequivalent atoms, fractional coordinates:
Nb (0.1145, 0.0819, 0.0961) x8
Nb (0.2177, 0.0850, 0.4038) x8
Cu (0.0000, 0.1354, 0.7500) x4
Cu (0.1408, 0.4441, 0.2494) x8
Mo (0.0580, 0.4156, 0.9192) x8
C (0.0851, 0.2448, 0.5000) x8
C (0.2500, 0.2500, 0.0000) x4



(2)
Theoretical powder X-ray diffraction pattern of LaAl2Hg for Cu Kα, 1.54184 Å, from a structure optimized by DFT (PBE).
Kinematic intensities with the Lorentz-polarization factor, no thermal factor.

Main lines, by angle (2θ from 10° to 90°):
h k l, 2theta, d_spacing, Rel. int.
0 0 2, 14.68, 6.034, 40.0
1 0 0, 19.16, 4.633, 31.9
1 1 1, 24.42, 3.646, 31.4
0 2 2, 30.25, 2.955, 50.0
1 0 4, 35.51, 2.528, 63.2
1 2 2, 36.06, 2.491, 100.0
2 0 0, 38.88, 2.316, 28.8
2 2 2, 50.04, 1.823, 25.1
0 2 6, 52.94, 1.730, 18.7
2 4 0, 68.59, 1.368, 25.0

Structural model:
Lattice parameters (Å, degrees): 4.6326 6.7769 12.0688 90.00 90.00 90.00
Space group Amm2 (No. 38)
Inequivalent atoms, fractional coordinates:
La (0.0000, 0.0000, 0.0000) x2
La (0.5000, 0.0000, 0.3486) x2
Al (0.0000, 0.0000, 0.5302) x2
Al (0.5000, 0.0000, 0.8045) x2
Al (0.5000, 0.2074, 0.6000) x4
Hg (0.0000, 0.2366, 0.7432) x4



- Which formula does entry 2 have?
  LaAl2Hg



Please write out number 1 again, unchanged.
Theoretical powder X-ray diffraction pattern of Nb4Cu3Mo2C3 for Cu Kα, 1.54184 Å, from a structure optimized by DFT (PBE).
Kinematic intensities with the Lorentz-polarization factor, no thermal factor.

Main lines, by angle (2θ from 10° to 90°):
h k l, 2theta, d_spacing, Rel. int.
3 1 -1, 33.05, 2.711, 23.6
3 1 -4, 39.20, 2.298, 100.0
0 0 6, 41.68, 2.167, 17.3
3 1 5, 54.15, 1.694, 8.9
3 1 -7, 54.25, 1.691, 5.1
6 0 -2, 59.02, 1.565, 19.1
6 2 1, 73.13, 1.294, 8.7
0 2 9, 74.37, 1.276, 7.3
6 0 4, 74.76, 1.270, 7.1
6 0 -8, 74.90, 1.268, 7.1

Structural model:
Lattice parameters (Å, degrees): 9.3893 5.4221 13.3673 90.00 103.40 90.00
Space group C2/c (No. 15)
Inequivalent atoms, fractional coordinates:
Nb (0.1145, 0.0819, 0.0961) x8
Nb (0.2177, 0.0850, 0.4038) x8
Cu (0.0000, 0.1354, 0.7500) x4
Cu (0.1408, 0.4441, 0.2494) x8
Mo (0.0580, 0.4156, 0.9192) x8
C (0.0851, 0.2448, 0.5000) x8
C (0.2500, 0.2500, 0.0000) x4